[1]
Theoretical PXRD pattern
Compound: CsH3O2
Radiation: copper Kα
Structure: DFT lattice parameters and positions (PBE)

Top 10 peaks for 5 to 70 degrees two-theta, sorted by position:
(hkl)  two_theta  intensity
1 0 1  21.2  54.4
0 0 4  24.8  24.8
1 0 3  27.6  56.3
1 1 2  31.4  100.0
1 0 5  37.4  36.2
2 0 0  41.1  28.6
2 0 4  48.6  17.3
2 1 3  50.2  19.9
2 1 5  56.8  19.4
3 1 2  68.9  19.0

Atomic structure:
Cell lengths 4.389, 4.389, 14.378 Å; angles 90.00, 90.00, 90.00 degrees
Space group I4_1/amd (No. 141, origin choice 2)
One atom of each set of equivalent atoms:
Cs: 0.000 0.250 0.375 x4
H: 0.000 0.000 0.000 x8
H: 0.000 0.250 0.875 x4
O: 0.000 0.250 0.789 x8

***

[2]
Theoretical PXRD pattern
Compound: Mg16Al12Tl
Radiation: copper Kα
Structure: DFT lattice parameters and positions (PBE)

Top 10 peaks for 5 to 70 degrees two-theta, sorted by position:
(hkl)  two_theta  intensity
1 1 0  11.8  63.2
2 1 1  20.6  30.6
3 1 0  26.6  18.9
3 2 1  31.6  32.6
3 3 0  36.0  100.0
3 3 2  39.9  20.6
4 2 2  41.8  18.6
5 2 1  47.0  14.0
5 5 0  62.0  18.4
7 2 1  64.7  29.1

Atomic structure:
Cell lengths 10.586, 10.586, 10.586 Å; angles 90.00, 90.00, 90.00 degrees
Space group I-43m (No. 217)
One atom of each set of equivalent atoms:
Mg: 0.042 0.357 0.643 x24
Mg: 0.173 0.173 0.173 x8
Al: 0.092 0.092 0.720 x24
Tl: 0.000 0.000 0.000 x2

***

[3]
Theoretical PXRD pattern
Compound: MgTe2MoW3Se4S2
Radiation: copper Kα
Structure: DFT lattice parameters and positions (PBE)

Top 10 peaks for 5 to 70 degrees two-theta, sorted by position:
(hkl)  two_theta  intensity
0 0 3  5.8  18.2
0 0 5  9.6  100.0
0 0 6  11.5  19.1
1 0 0  31.0  16.2
1 0 5  32.5  11.1
0 1 8  34.8  24.6
1 0 10  36.7  11.0
0 1 13  40.3  30.0
1 1 0  55.1  12.4
1 1 5  56.0  11.8

Atomic structure:
Cell lengths 3.3362, 3.3362, 45.9798 Å; angles 90.00, 90.00, 120.00 degrees
Space group P3m1 (No. 156)
One atom of each set of equivalent atoms:
Mg: 0.0000 0.0000 0.0000 x1
Te: 0.6667 0.3333 0.6727 x1
Te: 0.6667 0.3333 0.7553 x1
Mo: 0.3333 0.6667 0.7140 x1
W: 0.3333 0.6667 0.0977 x1
W: 0.6667 0.3333 0.2781 x1
W: 0.6667 0.3333 0.8951 x1
Se: 0.3333 0.6667 0.2416 x1
Se: 0.3333 0.6667 0.3146 x1
Se: 0.3333 0.6667 0.8587 x1
Se: 0.3333 0.6667 0.9319 x1
S: 0.6667 0.3333 0.0643 x1
S: 0.6667 0.3333 0.1307 x1

***

[4]
Theoretical PXRD pattern
Compound: MgZn4Ag5
Radiation: copper Kα
Structure: DFT lattice parameters and positions (PBE)

Top 10 peaks for 5 to 70 degrees two-theta, sorted by position:
(hkl)  two_theta  intensity
0 0 1  5.2  11.8
0 0 2  10.4  3.6
0 0 5  26.2  5.8
1 0 0  28.5  10.0
1 0 5  39.1  100.0
1 1 0  40.7  45.7
1 1 5  49.1  3.9
0 0 10  54.0  8.7
2 0 0  58.9  14.5
1 1 10  69.7  15.4

Atomic structure:
Cell lengths 3.137, 3.137, 16.987 Å; angles 90.00, 90.00, 90.00 degrees
Space group P4/mmm (No. 123)
One atom of each set of equivalent atoms:
Mg: 0.000 0.000 0.000 x1
Zn: 0.000 0.000 0.205 x2
Zn: 0.000 0.000 0.401 x2
Ag: 0.500 0.500 0.109 x2
Ag: 0.500 0.500 0.303 x2
Ag: 0.500 0.500 0.500 x1

***

[5]
Theoretical PXRD pattern
Compound: Sm2P3Pt6
Radiation: copper Kα
Structure: DFT lattice parameters and positions (PBE)

Top 10 peaks for 5 to 70 degrees two-theta, sorted by position:
(hkl)  two_theta  intensity
0 0 4  7.7  28.9
1 1 2  30.9  17.8
0 0 16  31.0  14.9
1 1 6  32.8  42.7
1 0 13  33.3  14.5
1 1 10  36.4  100.0
2 0 0  43.9  53.4
2 0 16  54.7  12.5
2 2 0  63.8  17.7
1 1 30  69.1  14.8

Atomic structure:
Cell lengths 4.128, 4.128, 46.092 Å; angles 90.00, 90.00, 90.00 degrees
Space group I4_1/amd (No. 141, origin choice 2)
One atom of each set of equivalent atoms:
Sm: 0.000 0.250 0.076 x8
P: 0.000 0.250 0.200 x8
P: 0.000 0.250 0.375 x4
Pt: 0.000 0.250 0.149 x8
Pt: 0.000 0.250 0.273 x8
Pt: 0.000 0.250 0.775 x8

***

[6]
Theoretical PXRD pattern
Compound: GdSi2Pt2
Radiation: copper Kα
Structure: DFT lattice parameters and positions (PBE)

Top 10 peaks for 5 to 70 degrees two-theta, sorted by position:
(hkl)  two_theta  intensity
0 0 3  27.1  29.0
1 1 2  27.8  29.2
2 0 1  31.3  78.1
1 1 3  34.5  70.9
2 0 2  35.1  100.0
2 2 0  42.8  72.7
2 0 4  47.8  24.7
1 1 5  51.0  23.4
3 1 3  56.1  35.5
2 0 6  64.6  25.1

Atomic structure:
Cell lengths 5.968, 5.983, 9.887 Å; angles 90.00, 90.00, 90.00 degrees
Space group Cmme (No. 67)
One atom of each set of equivalent atoms:
Gd: 0.000 0.250 0.244 x4
Si: 0.000 0.250 0.632 x4
Si: 0.250 0.000 0.000 x4
Pt: 0.000 0.250 0.876 x4
Pt: 0.250 0.000 0.500 x4

***

[7]
Theoretical PXRD pattern
Compound: Dy2SnS3
Radiation: copper Kα
Structure: DFT lattice parameters and positions (PBE)

Top 10 peaks for 5 to 70 degrees two-theta, sorted by position:
(hkl)  two_theta  intensity
0 2 0  12.6  42.5
1 3 -1  23.5  100.0
2 0 0  25.5  59.6
2 0 -2  27.8  34.5
0 0 2  28.3  63.0
1 3 1  30.0  29.7
1 5 0  34.4  28.7
3 1 -1  34.8  27.9
1 3 -3  43.3  27.2
2 6 0  46.7  24.4

Atomic structure:
Cell lengths 7.928, 14.044, 7.135 Å; angles 90.00, 118.04, 90.00 degrees
Space group Cc (No. 9)
One atom of each set of equivalent atoms:
Dy: 0.000 0.095 0.000 x4
Dy: 0.045 0.269 0.469 x4
Sn: 0.415 0.158 0.440 x4
S: 0.030 0.082 0.384 x4
S: 0.121 0.420 0.300 x4
S: 0.177 0.227 0.881 x4

***

[8]
Theoretical PXRD pattern
Compound: Ca4In3Au10
Radiation: copper Kα
Structure: DFT lattice parameters and positions (PBE)

Top 10 peaks for 5 to 70 degrees two-theta, sorted by position:
(hkl)  two_theta  intensity
3 1 1  22.6  22.7
0 2 2  24.5  27.0
3 1 3  33.5  15.6
3 3 1  33.7  17.3
0 0 4  34.8  15.4
4 2 2  35.6  100.0
3 3 2  37.0  14.5
3 3 3  42.0  24.1
1 1 5  45.3  17.7
1 5 1  45.7  16.9

Atomic structure:
Cell lengths 13.999, 10.226, 10.324 Å; angles 90.00, 90.00, 90.00 degrees
Space group Cmce (No. 64)
One atom of each set of equivalent atoms:
Ca: 0.000 0.197 0.202 x8
Ca: 0.197 0.000 0.000 x8
In: 0.000 0.000 0.500 x4
In: 0.250 0.231 0.250 x8
Au: 0.000 0.098 0.904 x8
Au: 0.141 0.027 0.707 x16
Au: 0.141 0.207 0.482 x16

***

[9]
Theoretical PXRD pattern
Compound: PCl2OF
Radiation: copper Kα
Structure: DFT lattice parameters and positions (PBE)

Top 10 peaks for 5 to 70 degrees two-theta, sorted by position:
(hkl)  two_theta  intensity
1 1 0  18.3  83.8
0 1 1  18.4  65.9
2 0 0  19.7  69.8
0 0 2  20.2  54.5
2 0 -2  21.2  66.8
2 1 -1  23.6  71.5
1 1 -2  23.9  100.0
0 1 2  25.5  94.3
3 0 0  29.7  34.8
2 1 1  30.2  44.4

Atomic structure:
Cell lengths 10.031, 5.761, 9.779 Å; angles 90.00, 116.06, 90.00 degrees
Space group P2_1/c (No. 14)
One atom of each set of equivalent atoms:
P: 0.226 0.131 0.049 x4
Cl: 0.197 0.587 0.381 x4
Cl: 0.416 0.203 0.598 x4
O: 0.214 0.029 0.181 x4
F: 0.108 0.174 0.467 x4

***

What is the formula in the third record? MgTe2MoW3Se4S2